Starting from the PBE+U geometry in Alexandria, the powder XRD pattern of K2CoS2O10 was simulated for Cu Kα.
Peak positions follow from Bragg's law for the DFT cell and can differ from measured ones.

Structural model:
```
K2CoS2O10
1.0
4.890 0.000 0.000
0.000 14.611 0.000
-3.190 0.000 6.663
K Co S O
4 2 4 20
Direct
0.187 0.154 0.373 K
0.187 0.346 0.873 K
0.813 0.654 0.127 K
0.813 0.846 0.627 K
0.500 0.000 0.000 Co
0.500 0.500 0.500 Co
0.107 0.606 0.707 S
0.107 0.894 0.207 S
0.893 0.106 0.793 S
0.893 0.394 0.293 S
0.048 0.167 0.965 O
0.048 0.333 0.465 O
0.082 0.017 0.825 O
0.082 0.483 0.325 O
0.150 0.647 0.898 O
0.150 0.853 0.398 O
0.408 0.574 0.723 O
0.408 0.926 0.223 O
0.469 0.601 0.367 O
0.469 0.899 0.867 O
0.531 0.101 0.133 O
0.531 0.399 0.633 O
0.592 0.074 0.777 O
0.592 0.426 0.277 O
0.850 0.147 0.602 O
0.850 0.353 0.102 O
0.918 0.517 0.675 O
0.918 0.983 0.175 O
0.952 0.667 0.535 O
0.952 0.833 0.035 O
```

Most intense lines, 15° ≤ 2θ ≤ 90°, in order of rising 2θ:
2θ (°), I (rel.), h k l
22.61, 97, 0 3 1
23.56, 47, 1 2 0
24.37, 43, 0 4 0
25.62, 72, 1 0 -2
26.24, 100, 1 3 -1
29.35, 73, 1 1 1
37.53, 57, 2 1 -1
41.18, 55, 1 3 -3